No. 1
Simulated X-ray diffraction stick pattern of Ho2Ga for Cu Ka, from a GGA-PBE-relaxed structure.
Neutral-atom scattering factors, no anomalous dispersion.

Structural model:
```
Ho2Ga
1.0
2.278 -8.221 0.000
2.278 8.221 0.000
0.000 0.000 8.299
Ho Ga
8 4
Direct
0.026 0.974 0.500
0.160 0.840 0.831
0.326 0.674 0.049
0.369 0.631 0.645
0.631 0.369 0.145
0.674 0.326 0.549
0.840 0.160 0.331
0.974 0.026 0.000
0.207 0.793 0.337
0.463 0.537 0.298
0.537 0.463 0.798
0.793 0.207 0.837
```

Peak list (10 most intense, 2θ = 15–90°, in order of rising 2θ)
d_spacing, I/Imax
3.228, 140
3.016, 228
2.740, 162
2.677, 1000
2.622, 236
2.602, 145
2.539, 359
2.278, 291
1.720, 135
1.380, 135


No. 2
Simulated X-ray diffraction stick pattern of Rb2CdBr6O for Cu Ka, from a GGA-PBE-relaxed structure.
Neutral-atom scattering factors, no anomalous dispersion.

Structural model:
```
Rb2CdBr6O
1.0
-3.691 3.691 5.886
3.691 -3.691 5.886
3.691 3.691 -5.886
Rb Cd Br O
2 1 6 1
Direct
0.250 0.750 0.500
0.750 0.250 0.500
0.000 0.000 0.000
0.218 0.218 0.000
0.280 0.280 0.560
0.280 0.720 0.000
0.720 0.280 0.000
0.720 0.720 0.440
0.782 0.782 0.000
0.500 0.500 0.000
```

Peak list (10 most intense, 2θ = 15–90°, in order of rising 2θ)
d_spacing, I/Imax
3.906, 195
3.179, 295
3.127, 1000
2.943, 479
2.610, 694
2.409, 183
1.953, 502
1.846, 212
1.589, 183
1.564, 211


No. 3
Simulated X-ray diffraction stick pattern of DyPu3Ru4 for Cu Ka, from a GGA-PBE-relaxed structure.
Neutral-atom scattering factors, no anomalous dispersion.

Structural model:
```
DyPu3Ru4
1.0
3.365 0.000 0.000
0.000 4.846 0.000
0.000 0.000 9.523
Dy Pu Ru
1 3 4
Direct
0.000 0.000 0.000
0.000 0.000 0.500
0.000 0.500 0.248
0.000 0.500 0.752
0.500 0.000 0.262
0.500 0.000 0.738
0.500 0.500 0.000
0.500 0.500 0.500
```

Peak list (10 most intense, 2θ = 15–90°, in order of rising 2θ)
d_spacing, I/Imax
3.396, 153
2.423, 261
2.391, 1000
2.381, 245
1.698, 176
1.393, 185
1.382, 90
1.376, 173
1.374, 88
1.195, 112